Entry 1:
Calculated powder XRD pattern of Tl2SeBr for Cu Kα (weighted mean of Kα1 and Kα2), from the PBE geometry in Alexandria.
Neutral-atom scattering factors, no anomalous dispersion.

Structural model:
Unit cell a=4.067 b=4.151 c=15.892 alpha=90.00 beta=90.00 gamma=90.00
Space group Imm2 (No. 44)
Asymmetric unit:
Tl (0.000, 0.000, 0.000) x2
Tl (0.000, 0.500, 0.275) x2
Se (0.000, 0.000, 0.463) x2
Br (0.000, 0.500, 0.683) x2

Peak list (10 most intense, 2θ from 10° to 90°, in order of rising 2θ)
22.13°, rel. 22, (0 1 1); 22.38°, rel. 39, (0 0 4); 27.30°, rel. 13, (0 1 3); 27.65°, rel. 30, (1 0 3); 32.83°, rel. 100, (1 1 2); 35.58°, rel. 24, (0 1 5); 43.61°, rel. 14, (0 2 0); 44.56°, rel. 13, (2 0 0); 45.77°, rel. 13, (1 0 7); 49.57°, rel. 12, (0 2 4)

---

Entry 2:
Calculated powder XRD pattern of TlZnSeBr for Cu Kα (weighted mean of Kα1 and Kα2), from the PBE geometry in Alexandria.
Neutral-atom scattering factors, no anomalous dispersion.

Structural model:
Unit cell a=4.1388 b=4.1388 c=7.9312 alpha=90.00 beta=90.00 gamma=120.00
Space group P3m1 (No. 156)
Asymmetric unit:
Tl (0.0000, 0.0000, 0.0000) x1
Zn (0.3333, 0.6667, 0.4156) x1
Se (0.6667, 0.3333, 0.3158) x1
Br (0.3333, 0.6667, 0.7328) x1

Peak list (10 most intense, 2θ from 10° to 90°, in order of rising 2θ)
11.16°, rel. 16, (0 0 1); 27.30°, rel. 100, (1 0 1); 33.71°, rel. 50, (0 1 2); 33.91°, rel. 14, (0 0 3); 42.49°, rel. 21, (0 1 3); 43.74°, rel. 35, (1 1 0); 52.34°, rel. 17, (0 2 1); 52.76°, rel. 13, (1 0 4); 56.47°, rel. 19, (1 1 3); 70.52°, rel. 14, (2 1 1)

---

Entry 3:
Calculated powder XRD pattern of WSe2Br5 for Cu Kα (weighted mean of Kα1 and Kα2), from the PBE geometry in Alexandria.
Neutral-atom scattering factors, no anomalous dispersion.

Structural model:
Unit cell a=9.500 b=12.645 c=5.157 alpha=90.00 beta=90.00 gamma=90.00
Space group Imm2 (No. 44)
Asymmetric unit:
W (0.000, 0.000, 0.000) x2
Se (0.000, 0.500, 0.206) x2
Se (0.000, 0.500, 0.778) x2
Br (0.000, 0.000, 0.500) x2
Br (0.186, 0.138, 0.000) x8

Peak list (10 most intense, 2θ from 10° to 90°, in order of rising 2θ)
11.65°, rel. 73, (1 1 0); 14.01°, rel. 100, (0 2 0); 18.60°, rel. 72, (0 1 1); 19.59°, rel. 46, (1 0 1); 23.42°, rel. 93, (2 2 0); 33.31°, rel. 24, (2 3 1); 34.07°, rel. 69, (2 4 0); 36.81°, rel. 65, (1 1 2); 44.13°, rel. 33, (3 4 1); 50.52°, rel. 48, (3 3 2)